Record 1
Diffraction record for Na2Ni3O7. The powder diffraction line list is computed, not measured: it uses a GGA+U-relaxed structure and Cu Kα (weighted mean of Kα1 and Kα2).
Neutral-atom scattering factors, no anomalous dispersion.

Atomic structure:
```
data_Na2Ni3O7
_cell_length_a 7.053
_cell_length_b 7.089
_cell_length_c 7.091
_cell_angle_alpha 64.19
_cell_angle_beta 64.12
_cell_angle_gamma 64.40
_space_group_name_H-M_alt 'P 1'
_space_group_IT_number 1
loop_
_space_group_symop_operation_xyz
'x,y,z'
loop_
_atom_site_label
_atom_site_fract_x
_atom_site_fract_y
_atom_site_fract_z
Na1 0.000 0.000 0.000
Na2 0.063 0.669 0.795
Na3 0.288 0.925 0.306
Na4 0.894 0.351 0.268
Ni1 0.153 0.290 0.581
Ni2 0.296 0.570 0.151
Ni3 0.442 0.861 0.721
Ni4 0.579 0.147 0.297
Ni5 0.717 0.433 0.865
Ni6 0.866 0.716 0.438
O1 0.003 0.661 0.163
O2 0.009 0.337 0.860
O3 0.163 0.590 0.445
O4 0.170 0.995 0.666
O5 0.282 0.276 0.291
O6 0.339 0.843 0.014
O7 0.418 0.571 0.855
O8 0.445 0.156 0.595
O9 0.576 0.850 0.426
O10 0.593 0.438 0.160
O11 0.663 0.164 0.007
O12 0.736 0.725 0.730
O13 0.855 0.420 0.574
O14 0.859 0.010 0.338
```

The 6 most intense peaks (2θ from 5° to 70°), by intensity:
5.587 Å, rel. 100.0
2.126 Å, rel. 32.1
2.120 Å, rel. 15.9
2.435 Å, rel. 12.3
2.794 Å, rel. 10.0
2.368 Å, rel. 8.1

=====

Record 2
Diffraction record for KCrS2O8. The powder diffraction line list is computed, not measured: it uses a GGA+U-relaxed structure and Cu Kα (weighted mean of Kα1 and Kα2).
Neutral-atom scattering factors, no anomalous dispersion.

Atomic structure:
```
data_KCrS2O8
_cell_length_a 4.8591
_cell_length_b 4.8591
_cell_length_c 16.4328
_cell_angle_alpha 90.00
_cell_angle_beta 90.00
_cell_angle_gamma 120.00
_space_group_name_H-M_alt 'P -3 c 1'
_space_group_IT_number 165
_space_group_name_Hall '-P 3 2"c'
loop_
_atom_site_label
_atom_site_fract_x
_atom_site_fract_y
_atom_site_fract_z
K1 0.0000 0.0000 0.2500
Cr1 0.0000 0.0000 0.0000
S1 0.3333 0.6667 0.3953
O1 0.0656 0.3571 0.4258
O2 0.3333 0.6667 0.3065
```

The 6 most intense peaks (2θ from 5° to 70°), by intensity:
3.745 Å, rel. 100.0
2.940 Å, rel. 85.1
8.216 Å, rel. 51.9
2.430 Å, rel. 36.0
1.873 Å, rel. 22.6
1.846 Å, rel. 16.4

=====

Record 3
Diffraction record for Li9Mn2Co5O16. The powder diffraction line list is computed, not measured: it uses a GGA+U-relaxed structure and Cu Kα (weighted mean of Kα1 and Kα2).
Neutral-atom scattering factors, no anomalous dispersion.

Atomic structure:
```
data_Li9Mn2Co5O16
_cell_length_a 2.964
_cell_length_b 7.807
_cell_length_c 12.574
_cell_angle_alpha 89.42
_cell_angle_beta 89.93
_cell_angle_gamma 80.80
_space_group_name_H-M_alt 'P -1'
_space_group_IT_number 2
loop_
_space_group_symop_operation_xyz
'x,y,z'
'-x,-y,-z'
loop_
_atom_site_label
_atom_site_fract_x
_atom_site_fract_y
_atom_site_fract_z
Li1 0.000 0.000 0.000
Li2 0.065 0.875 0.686
Li3 0.161 0.642 0.062
Li4 0.314 0.376 0.437
Li5 0.432 0.126 0.822
Mn1 0.391 0.245 0.122
Co1 0.118 0.750 0.374
Co2 0.247 0.501 0.748
Co3 0.500 0.000 0.500
O1 0.042 0.913 0.847
O2 0.082 0.815 0.523
O3 0.115 0.681 0.225
O4 0.186 0.582 0.895
O5 0.300 0.431 0.603
O6 0.378 0.323 0.273
O7 0.407 0.198 0.979
O8 0.470 0.065 0.649
```

The 6 most intense peaks (2θ from 5° to 70°), by intensity:
4.848 Å, rel. 100.0
2.135 Å, rel. 30.2
2.073 Å, rel. 27.1
2.027 Å, rel. 24.9
12.573 Å, rel. 16.7
2.548 Å, rel. 16.1

=====

Record 4
Diffraction record for KCaCeMnO6. The powder diffraction line list is computed, not measured: it uses a GGA+U-relaxed structure and Cu Kα (weighted mean of Kα1 and Kα2).
Neutral-atom scattering factors, no anomalous dispersion.

Atomic structure:
```
data_KCaCeMnO6
_cell_length_a 8.233
_cell_length_b 8.233
_cell_length_c 8.233
_cell_angle_alpha 90.00
_cell_angle_beta 90.00
_cell_angle_gamma 90.00
_space_group_name_H-M_alt 'F -4 3 m'
_space_group_IT_number 216
_space_group_name_Hall 'F -4 2 3'
loop_
_atom_site_label
_atom_site_fract_x
_atom_site_fract_y
_atom_site_fract_z
K1 0.000 0.000 0.000
Ca1 0.000 0.000 0.500
Ce1 0.250 0.250 0.250
Mn1 0.250 0.250 0.750
O1 0.017 0.250 0.750
```

The 6 most intense peaks (2θ from 5° to 70°), by intensity:
2.911 Å, rel. 100.0
4.116 Å, rel. 43.4
2.058 Å, rel. 40.3
1.681 Å, rel. 37.3
1.455 Å, rel. 22.8
4.753 Å, rel. 17.8

=====

Record 5
Diffraction record for Li3MnCo2O6. The powder diffraction line list is computed, not measured: it uses a GGA+U-relaxed structure and Cu Kα (weighted mean of Kα1 and Kα2).
Neutral-atom scattering factors, no anomalous dispersion.

Atomic structure:
```
data_Li3MnCo2O6
_cell_length_a 3.045
_cell_length_b 6.024
_cell_length_c 6.441
_cell_angle_alpha 103.79
_cell_angle_beta 103.65
_cell_angle_gamma 91.15
_space_group_name_H-M_alt 'P -1'
_space_group_IT_number 2
loop_
_space_group_symop_operation_xyz
'x,y,z'
'-x,-y,-z'
loop_
_atom_site_label
_atom_site_fract_x
_atom_site_fract_y
_atom_site_fract_z
Li1 0.000 0.000 0.000
Li2 0.330 0.667 0.662
Mn1 0.000 0.500 0.000
Co1 0.339 0.166 0.666
O1 0.151 0.590 0.318
O2 0.177 0.078 0.349
O3 0.484 0.745 0.017
```

The 6 most intense peaks (2θ from 5° to 70°), by intensity:
4.852 Å, rel. 100.0
2.163 Å, rel. 29.6
2.120 Å, rel. 27.6
2.020 Å, rel. 22.9
2.594 Å, rel. 17.4
2.550 Å, rel. 15.5

=====

Record 6
Diffraction record for CaV4Ag2O12. The powder diffraction line list is computed, not measured: it uses a GGA+U-relaxed structure and Cu Kα (weighted mean of Kα1 and Kα2).
Neutral-atom scattering factors, no anomalous dispersion.

Atomic structure:
```
data_CaV4Ag2O12
_cell_length_a 10.521
_cell_length_b 10.521
_cell_length_c 5.083
_cell_angle_alpha 90.00
_cell_angle_beta 90.00
_cell_angle_gamma 90.00
_space_group_name_H-M_alt 'P 4/n b m'
_space_group_IT_number 125
loop_
_space_group_symop_operation_xyz
'x,y,z'
'-x,-y,-z'
'-y+1/2,x,z'
'y+1/2,-x,-z'
'-x+1/2,-y+1/2,z'
'x+1/2,y+1/2,-z'
'y,-x+1/2,z'
'-y,x+1/2,-z'
'x,-y+1/2,-z'
'-x,y+1/2,z'
'-y+1/2,-x+1/2,-z'
'y+1/2,x+1/2,z'
'-x+1/2,y,-z'
'x+1/2,-y,z'
'y,x,-z'
'-y,-x,z'
loop_
_atom_site_label
_atom_site_fract_x
_atom_site_fract_y
_atom_site_fract_z
Ca1 0.250 0.250 0.000
V1 0.026 0.750 0.500
Ag1 0.000 0.000 0.000
O1 0.061 0.182 0.258
O2 0.129 0.629 0.645
```

The 6 most intense peaks (2θ from 5° to 70°), by intensity:
3.002 Å, rel. 100.0
5.260 Å, rel. 28.6
3.655 Å, rel. 27.9
2.630 Å, rel. 22.6
1.828 Å, rel. 22.5
1.581 Å, rel. 21.3

=====

Question: What is the formula in the first record?
Answer: Na2Ni3O7

=====

Repeat the first record exactly.
Diffraction record for Na2Ni3O7. The powder diffraction line list is computed, not measured: it uses a GGA+U-relaxed structure and Cu Kα (weighted mean of Kα1 and Kα2).
Neutral-atom scattering factors, no anomalous dispersion.

Atomic structure:
```
data_Na2Ni3O7
_cell_length_a 7.053
_cell_length_b 7.089
_cell_length_c 7.091
_cell_angle_alpha 64.19
_cell_angle_beta 64.12
_cell_angle_gamma 64.40
_space_group_name_H-M_alt 'P 1'
_space_group_IT_number 1
loop_
_space_group_symop_operation_xyz
'x,y,z'
loop_
_atom_site_label
_atom_site_fract_x
_atom_site_fract_y
_atom_site_fract_z
Na1 0.000 0.000 0.000
Na2 0.063 0.669 0.795
Na3 0.288 0.925 0.306
Na4 0.894 0.351 0.268
Ni1 0.153 0.290 0.581
Ni2 0.296 0.570 0.151
Ni3 0.442 0.861 0.721
Ni4 0.579 0.147 0.297
Ni5 0.717 0.433 0.865
Ni6 0.866 0.716 0.438
O1 0.003 0.661 0.163
O2 0.009 0.337 0.860
O3 0.163 0.590 0.445
O4 0.170 0.995 0.666
O5 0.282 0.276 0.291
O6 0.339 0.843 0.014
O7 0.418 0.571 0.855
O8 0.445 0.156 0.595
O9 0.576 0.850 0.426
O10 0.593 0.438 0.160
O11 0.663 0.164 0.007
O12 0.736 0.725 0.730
O13 0.855 0.420 0.574
O14 0.859 0.010 0.338
```

The 6 most intense peaks (2θ from 5° to 70°), by intensity:
5.587 Å, rel. 100.0
2.126 Å, rel. 32.1
2.120 Å, rel. 15.9
2.435 Å, rel. 12.3
2.794 Å, rel. 10.0
2.368 Å, rel. 8.1